Entry 1:
Diffraction record for ReOs3. The X-ray diffraction stick pattern is computed, not measured: it uses a structure optimized by DFT (PBE) and Cu Kα, 1.54184 Å.

The 10 most intense peaks (2θ from 10° to 90°), in order of falling intensity:
two_theta, d_spacing, I (rel.)
43.10, 2.099, 1000
41.31, 2.186, 250
37.59, 2.393, 243
82.63, 1.168, 209
76.56, 1.244, 188
67.85, 1.381, 176
83.84, 1.154, 151
57.08, 1.614, 147
89.73, 1.093, 29
80.24, 1.196, 28

Atomic structure:
```
ReOs3
1.0
2.763 0.000 0.000
-1.381 2.393 0.000
0.000 0.000 8.742
Re Os
1 3
Direct
0.000 0.000 0.000
0.000 0.000 0.500
0.667 0.333 0.251
0.667 0.333 0.749
```

=====

Entry 2:
Diffraction record for ReOs8. The X-ray diffraction stick pattern is computed, not measured: it uses a structure optimized by DFT (PBE) and Cu Kα, 1.54184 Å.

The 8 most intense peaks (2θ from 10° to 90°), in order of falling intensity:
two_theta, d_spacing, I (rel.)
40.45, 2.230, 1000
47.00, 1.933, 327
82.82, 1.166, 261
68.77, 1.365, 213
47.16, 1.927, 162
83.05, 1.163, 130
87.48, 1.115, 116
68.65, 1.367, 107

Atomic structure:
```
ReOs8
1.0
-4.101 4.101 1.927
4.101 -4.101 1.927
4.101 4.101 -1.927
Re Os
1 8
Direct
0.000 0.000 0.000
0.000 0.333 0.333
0.000 0.667 0.667
0.333 0.000 0.333
0.333 0.333 0.666
0.333 0.667 0.000
0.667 0.000 0.667
0.667 0.333 0.000
0.667 0.667 0.334
```

=====

Entry 3:
Diffraction record for ReOs7. The X-ray diffraction stick pattern is computed, not measured: it uses a structure optimized by DFT (PBE) and Cu Kα, 1.54184 Å.

The 7 most intense peaks (2θ from 10° to 90°), in order of falling intensity:
two_theta, d_spacing, I (rel.)
40.43, 2.231, 1000
47.00, 1.933, 327
68.71, 1.366, 320
82.81, 1.166, 261
47.11, 1.929, 162
82.97, 1.164, 130
87.44, 1.115, 116

Atomic structure:
```
ReOs7
1.0
2.735 -5.468 0.000
2.735 5.468 0.000
0.000 0.000 3.858
Re Os
1 7
Direct
0.000 0.000 0.000
0.125 0.376 0.500
0.249 0.751 0.000
0.376 0.125 0.500
0.500 0.500 0.000
0.624 0.875 0.500
0.751 0.249 0.000
0.875 0.624 0.500
```

=====

Entry 4:
Diffraction record for Re3Os4. The X-ray diffraction stick pattern is computed, not measured: it uses a structure optimized by DFT (PBE) and Cu Kα, 1.54184 Å.

The 10 most intense peaks (2θ from 10° to 90°), in order of falling intensity:
two_theta, d_spacing, I (rel.)
40.20, 2.243, 1000
46.72, 1.944, 436
40.31, 2.237, 331
46.94, 1.936, 215
68.32, 1.373, 213
82.19, 1.173, 174
68.45, 1.371, 141
82.54, 1.169, 129
86.84, 1.122, 116
82.28, 1.172, 86

Atomic structure:
```
Re3Os4
1.0
5.965 -1.377 0.000
5.965 1.377 0.000
-2.516 0.000 6.239
Re Os
3 4
Direct
0.000 0.000 0.000
0.428 0.428 0.286
0.572 0.572 0.714
0.142 0.142 0.429
0.287 0.287 0.861
0.713 0.713 0.139
0.858 0.858 0.571
```

=====

Entry 5:
Diffraction record for ReOs7. The X-ray diffraction stick pattern is computed, not measured: it uses a structure optimized by DFT (PBE) and Cu Kα, 1.54184 Å.

The 8 most intense peaks (2θ from 10° to 90°), in order of falling intensity:
two_theta, d_spacing, I (rel.)
40.43, 2.231, 1000
47.14, 1.928, 324
83.01, 1.163, 259
68.62, 1.368, 214
46.83, 1.940, 165
82.55, 1.169, 131
87.44, 1.115, 116
68.87, 1.363, 106

Atomic structure:
```
ReOs7
1.0
4.333 -1.929 0.000
4.333 1.929 0.000
-3.431 0.000 6.905
Re Os
1 7
Direct
0.000 0.000 0.000
0.000 0.000 0.500
0.249 0.249 0.374
0.250 0.250 0.875
0.500 0.500 0.250
0.500 0.500 0.750
0.750 0.750 0.125
0.751 0.751 0.626
```

=====

Entry 6:
Diffraction record for Re5Os4. The X-ray diffraction stick pattern is computed, not measured: it uses a structure optimized by DFT (PBE) and Cu Kα, 1.54184 Å.

The 10 most intense peaks (2θ from 10° to 90°), in order of falling intensity:
two_theta, d_spacing, I (rel.)
41.48, 2.177, 1000
40.79, 2.212, 930
75.20, 1.264, 315
59.58, 1.552, 310
83.57, 1.157, 274
75.66, 1.257, 175
53.85, 1.702, 106
68.73, 1.366, 76
32.79, 2.732, 70
84.93, 1.142, 30

Atomic structure:
```
Re5Os4
1.0
7.541 0.000 0.000
-3.771 6.531 0.000
0.000 0.000 5.463
Re Os
10 8
Direct
0.000 0.334 0.250
0.000 0.666 0.750
0.333 0.667 0.000
0.333 0.667 0.500
0.334 0.000 0.250
0.334 0.334 0.750
0.666 0.000 0.750
0.666 0.666 0.250
0.667 0.333 0.000
0.667 0.333 0.500
0.000 0.000 0.000
0.000 0.000 0.500
0.000 0.333 0.750
0.000 0.667 0.250
0.333 0.000 0.750
0.333 0.333 0.250
0.667 0.000 0.250
0.667 0.667 0.750
```

=====

Entry 7:
Diffraction record for Re4Os3. The X-ray diffraction stick pattern is computed, not measured: it uses a structure optimized by DFT (PBE) and Cu Kα, 1.54184 Å.

The 5 most intense peaks (2θ from 10° to 90°), in order of falling intensity:
two_theta, d_spacing, I (rel.)
40.16, 2.246, 1000
46.71, 1.945, 490
82.20, 1.173, 389
68.20, 1.375, 320
86.72, 1.123, 116

Atomic structure:
```
Re4Os3
1.0
4.348 -1.945 0.000
4.348 1.945 0.000
-0.870 0.000 6.088
Re Os
4 3
Direct
0.000 0.000 0.000
0.285 0.285 0.856
0.426 0.426 0.286
0.573 0.573 0.713
0.143 0.143 0.427
0.713 0.713 0.143
0.856 0.856 0.571
```

=====

Entry 8:
Diffraction record for Re2Os3. The X-ray diffraction stick pattern is computed, not measured: it uses a structure optimized by DFT (PBE) and Cu Kα, 1.54184 Å.

The 9 most intense peaks (2θ from 10° to 90°), in order of falling intensity:
two_theta, d_spacing, I (rel.)
40.28, 2.239, 1000
46.82, 1.940, 653
82.47, 1.170, 389
40.17, 2.245, 334
68.45, 1.371, 213
68.29, 1.373, 213
82.30, 1.172, 129
87.04, 1.119, 116
86.75, 1.123, 38

Atomic structure:
```
Re2Os3
1.0
1.371 0.791 11.225
-1.371 0.791 11.225
0.000 -1.583 11.225
Re Os
2 3
Direct
0.099 0.099 0.099
0.901 0.901 0.901
0.299 0.299 0.299
0.500 0.500 0.500
0.701 0.701 0.701
```

=====

Entry 9:
Diffraction record for Re2Os5Ru2. The X-ray diffraction stick pattern is computed, not measured: it uses a structure optimized by DFT (PBE) and Cu Kα, 1.54184 Å.

The 10 most intense peaks (2θ from 10° to 90°), in order of falling intensity:
two_theta, d_spacing, I (rel.)
42.61, 2.122, 1000
42.04, 2.149, 347
40.67, 2.218, 322
77.21, 1.236, 177
38.34, 2.348, 163
42.97, 2.105, 157
61.68, 1.504, 109
58.19, 1.585, 101
36.97, 2.432, 94
83.13, 1.162, 91

Atomic structure:
```
Re2Os5Ru2
1.0
4.472 -2.149 0.000
4.472 2.149 0.000
-1.948 0.000 7.043
Re Os Ru
2 5 2
Direct
0.229 0.229 0.386
0.771 0.771 0.614
0.000 0.000 0.000
0.098 0.098 0.692
0.415 0.415 0.738
0.585 0.585 0.262
0.902 0.902 0.308
0.317 0.317 0.055
0.683 0.683 0.945
```

=====

Entry 10:
Diffraction record for ReOs2Ru. The X-ray diffraction stick pattern is computed, not measured: it uses a structure optimized by DFT (PBE) and Cu Kα, 1.54184 Å.

The 10 most intense peaks (2θ from 10° to 90°), in order of falling intensity:
two_theta, d_spacing, I (rel.)
43.24, 2.092, 1000
37.72, 2.385, 253
41.38, 2.182, 250
82.92, 1.164, 205
76.75, 1.242, 187
68.11, 1.377, 173
57.23, 1.610, 153
84.21, 1.150, 99
84.11, 1.151, 50
18.59, 4.772, 32

Atomic structure:
```
ReOs2Ru
1.0
2.751 0.000 0.000
0.000 4.364 0.000
0.000 0.000 4.772
Re Os Ru
1 2 1
Direct
0.000 0.000 0.000
0.000 0.500 0.330
0.500 0.000 0.495
0.500 0.500 0.834
```

=====

Entry 11:
Diffraction record for Re2SbOs. The X-ray diffraction stick pattern is computed, not measured: it uses a structure optimized by DFT (PBE) and Cu Kα, 1.54184 Å.

The 10 most intense peaks (2θ from 10° to 90°), in order of falling intensity:
two_theta, d_spacing, I (rel.)
39.05, 2.307, 1000
39.44, 2.285, 907
43.67, 2.073, 361
39.96, 2.256, 320
52.56, 1.741, 272
78.76, 1.215, 246
70.65, 1.333, 226
60.67, 1.526, 191
77.09, 1.237, 140
77.35, 1.234, 129

Atomic structure:
```
Re2SbOs
1.0
4.146 0.000 0.000
0.000 1.435 5.476
0.000 -1.435 5.476
Re Sb Os
2 1 1
Direct
0.000 0.000 0.000
0.500 0.368 0.368
0.500 0.615 0.615
0.000 0.764 0.764
```

=====

Entry 12:
Diffraction record for SrReOs2. The X-ray diffraction stick pattern is computed, not measured: it uses a structure optimized by DFT (PBE) and Cu Kα, 1.54184 Å.

The 10 most intense peaks (2θ from 10° to 90°), in order of falling intensity:
two_theta, d_spacing, I (rel.)
13.30, 6.659, 1000
34.32, 2.613, 601
38.85, 2.318, 430
42.90, 2.108, 330
43.66, 2.073, 311
37.30, 2.411, 289
46.22, 1.964, 223
43.23, 2.093, 218
58.13, 1.587, 161
52.09, 1.756, 129

Atomic structure:
```
SrReOs2
1.0
2.846 0.000 0.000
0.000 4.216 0.000
-1.331 0.000 6.659
Sr Re Os
1 1 2
Direct
0.000 0.000 0.000
0.275 0.500 0.630
0.646 0.500 0.289
0.661 0.000 0.513
```

=====

Entry 13:
Diffraction record for SrReOs. The X-ray diffraction stick pattern is computed, not measured: it uses a structure optimized by DFT (PBE) and Cu Kα, 1.54184 Å.

The 10 most intense peaks (2θ from 10° to 90°), in order of falling intensity:
two_theta, d_spacing, I (rel.)
15.48, 5.725, 1000
38.43, 2.342, 732
32.73, 2.736, 496
50.34, 1.813, 369
41.66, 2.168, 352
31.24, 2.863, 347
38.84, 2.319, 312
46.27, 1.962, 217
61.40, 1.510, 186
61.95, 1.498, 160

Atomic structure:
```
SrReOs
1.0
-1.460 1.962 5.725
1.460 -1.962 5.725
1.460 1.962 -5.725
Sr Re Os
1 1 1
Direct
0.000 0.000 0.000
0.282 0.282 0.000
0.716 0.716 0.000
```

=====

Entry 14:
Diffraction record for TaRe2Os. The X-ray diffraction stick pattern is computed, not measured: it uses a structure optimized by DFT (PBE) and Cu Kα, 1.54184 Å.

The 10 most intense peaks (2θ from 10° to 90°), in order of falling intensity:
two_theta, d_spacing, I (rel.)
39.28, 2.294, 1000
46.44, 1.955, 323
81.24, 1.184, 251
65.97, 1.416, 200
44.10, 2.053, 163
67.78, 1.383, 106
77.86, 1.227, 106
84.47, 1.147, 104
10.77, 8.214, 31
46.69, 1.946, 26

Atomic structure:
```
TaRe2Os
1.0
2.765 0.000 0.000
0.000 2.765 0.000
0.000 0.000 8.214
Ta Re Os
1 2 1
Direct
0.000 0.000 0.000
0.500 0.500 0.271
0.500 0.500 0.729
0.000 0.000 0.500
```

=====

Entry 15:
Diffraction record for Ta6ReOs5. The X-ray diffraction stick pattern is computed, not measured: it uses a structure optimized by DFT (PBE) and Cu Kα, 1.54184 Å.

The 10 most intense peaks (2θ from 10° to 90°), in order of falling intensity:
two_theta, d_spacing, I (rel.)
39.47, 2.283, 1000
41.10, 2.196, 624
39.32, 2.291, 350
73.80, 1.284, 205
54.38, 1.687, 118
70.27, 1.340, 117
73.61, 1.287, 110
59.62, 1.551, 108
84.96, 1.141, 105
73.89, 1.283, 104

Atomic structure:
```
Ta6ReOs5
1.0
4.580 0.000 0.000
0.000 6.203 0.000
-1.729 0.000 6.874
Ta Re Os
6 1 5
Direct
0.000 0.249 0.000
0.000 0.751 0.000
0.360 0.249 0.660
0.360 0.751 0.660
0.640 0.249 0.340
0.640 0.751 0.340
0.500 0.000 0.000
0.124 0.000 0.319
0.125 0.500 0.318
0.500 0.500 0.000
0.875 0.500 0.682
0.876 0.000 0.681
```